Theoretical powder X-ray diffraction pattern of YHo5S6 for a wavelength of 1.5418 Å, from a crystal structure in Alexandria, relaxed with PBE.
Intensities are scaled so that the largest is 100.

Atomic structure:
```
YHo5S6
1.0
3.367 -5.848 0.000
3.367 5.848 0.000
-2.263 0.000 6.333
Y Ho S
1 5 6
direct
0.000 0.000 0.000
0.166 0.834 0.500
0.334 0.666 0.000
0.500 0.500 0.500
0.666 0.334 0.000
0.834 0.166 0.500
0.084 0.419 0.251
0.252 0.252 0.750
0.419 0.084 0.251
0.581 0.916 0.749
0.748 0.748 0.250
0.916 0.581 0.749
```

Main lines, low angle first (10 to 90 degrees two-theta):
d = 3.181 Å, 2θ 28.05, rel. 40
d = 3.169 Å, 2θ 28.16, rel. 39
d = 2.749 Å, 2θ 32.57, rel. 100
d = 1.947 Å, 2θ 46.66, rel. 36
d = 1.943 Å, 2θ 46.74, rel. 24
d = 1.660 Å, 2θ 55.35, rel. 22